Diffraction record for AcMgRu2O8. The PXRD pattern is simulated, not measured: it uses a PBE-relaxed structure and Cu Kα X-rays.
Peak positions follow from Bragg's law for the DFT cell and can differ from measured ones.

Principal peaks in the range 10° ≤ 2θ ≤ 90°, by intensity:
| Position (°2θ) | I/Imax |
| --- | --- |
| 21.9 | 100 |
| 31.3 | 62 |
| 31.2 | 59 |
| 55.6 | 39 |
| 12.6 | 32 |
| 44.7 | 31 |

Crystal structure
```
AcMgRu2O8
1.0
5.717 0.000 0.000
-2.859 4.951 0.000
0.000 0.000 7.045
Ac Mg Ru O
1 1 2 8
direct
0.000 0.000 0.000 Ac
0.000 0.000 0.500 Mg
0.333 0.667 0.752 Ru
0.667 0.333 0.248 Ru
0.142 0.308 0.701 O
0.165 0.858 0.701 O
0.308 0.165 0.299 O
0.333 0.667 0.010 O
0.667 0.333 0.990 O
0.692 0.835 0.701 O
0.835 0.142 0.299 O
0.858 0.692 0.299 O
```